Diffraction record for Ba2YTlW2O7. The powder diffractogram is theoretical, not measured: it uses the GGA+U geometry in Alexandria and a wavelength of 1.5418 Å.
Lines closer than 0.1° are merged.

Structural model:
```
Ba2YTlW2O7
1.0
4.043 0.000 0.000
0.000 4.227 0.000
0.000 0.000 13.106
Ba Y Tl W O
2 1 1 2 7
direct
0.000 0.000 0.189
0.000 0.000 0.811
0.000 0.000 0.500
0.500 0.500 0.000
0.500 0.500 0.374
0.500 0.500 0.626
0.000 0.000 0.000
0.000 0.500 0.388
0.000 0.500 0.612
0.500 0.000 0.385
0.500 0.000 0.615
0.500 0.500 0.217
0.500 0.500 0.783
```

Principal peaks in the range 2θ = 10–90°, by angle:
29.40 deg, I = 78, (0 1 3)
30.12 deg, I = 74, (1 0 3)
30.60 deg, I = 100, (1 1 0)
46.55 deg, I = 27, (1 1 5)
53.21 deg, I = 31, (1 2 3)
54.53 deg, I = 28, (2 1 3)